# 1
Theoretical X-ray diffraction stick pattern
Compound: Nd2BeGa3
Radiation: copper Kα
Structure: the GGA-PBE geometry in Alexandria
Neutral-atom scattering factors, no anomalous dispersion.

Crystal structure
Cell: 8.394 8.549 14.494 Å, 90.00 90.00 90.00°
Space group Fmmm (No. 69)
Unique sites:
Nd  0.000  0.245  0.000
Nd  0.250  0.250  0.250
Be  0.000  0.000  0.333
Ga  0.000  0.000  0.174
Ga  0.238  0.000  0.413

Top 8 peaks for 15° ≤ 2θ ≤ 90°, by angle:
2θ 24.53, d 3.629, intensity 19
2θ 32.36, d 2.766, intensity 100
2θ 42.29, d 2.137, intensity 13
2θ 43.10, d 2.099, intensity 13
2θ 43.21, d 2.094, intensity 24
2θ 54.94, d 1.671, intensity 14
2θ 62.03, d 1.496, intensity 24
2θ 72.41, d 1.305, intensity 12

=====

# 2
Theoretical X-ray diffraction stick pattern
Compound: NdBe2GaPd5
Radiation: copper Kα
Structure: the GGA-PBE geometry in Alexandria
Neutral-atom scattering factors, no anomalous dispersion.

Crystal structure
Cell: 4.436 4.436 7.160 Å, 90.00 90.00 90.00°
Space group P4/mmm (No. 123)
Unique sites:
Nd  0.000  0.000  0.000
Be  0.500  0.500  0.336
Ga  0.000  0.000  0.500
Pd  0.000  0.500  0.295
Pd  0.500  0.500  0.000

Top 8 peaks for 15° ≤ 2θ ≤ 90°, by angle:
2θ 31.13, d 2.873, intensity 32
2θ 37.69, d 2.387, intensity 15
2θ 38.15, d 2.359, intensity 100
2θ 40.68, d 2.218, intensity 53
2θ 56.65, d 1.625, intensity 18
2θ 58.89, d 1.568, intensity 17
2θ 72.35, d 1.306, intensity 29
2θ 72.57, d 1.303, intensity 11

=====

# 3
Theoretical X-ray diffraction stick pattern
Compound: NdBeGaPt2
Radiation: copper Kα
Structure: the GGA-PBE geometry in Alexandria
Neutral-atom scattering factors, no anomalous dispersion.

Crystal structure
Cell: 4.069 4.069 11.072 Å, 90.00 90.00 90.00°
Space group I-4m2 (No. 119)
Unique sites:
Nd  0.000  0.000  0.000
Be  0.000  0.500  0.250
Ga  0.000  0.500  0.750
Pt  0.000  0.000  0.377

Top 8 peaks for 15° ≤ 2θ ≤ 90°, by angle:
2θ 23.29, d 3.820, intensity 29
2θ 31.08, d 2.878, intensity 68
2θ 32.76, d 2.734, intensity 100
2θ 35.15, d 2.553, intensity 27
2θ 44.53, d 2.035, intensity 47
2θ 46.70, d 1.945, intensity 42
2θ 56.37, d 1.632, intensity 43
2θ 66.50, d 1.406, intensity 30

=====

# 4
Theoretical X-ray diffraction stick pattern
Compound: Be4GaNi5
Radiation: copper Kα
Structure: the GGA-PBE geometry in Alexandria
Neutral-atom scattering factors, no anomalous dispersion.

Crystal structure
Cell: 2.627 2.627 13.918 Å, 90.00 90.00 90.00°
Space group P4/mmm (No. 123)
Unique sites:
Be  0.000  0.000  0.093
Be  0.000  0.000  0.279
Ga  0.000  0.000  0.500
Ni  0.500  0.500  0.000
Ni  0.500  0.500  0.186
Ni  0.500  0.500  0.374

Top 8 peaks for 15° ≤ 2θ ≤ 90°, by angle:
2θ 32.16, d 2.784, intensity 18
2θ 34.13, d 2.627, intensity 51
2θ 34.75, d 2.581, intensity 15
2θ 38.82, d 2.320, intensity 17
2θ 43.15, d 2.097, intensity 21
2θ 47.60, d 1.911, intensity 100
2θ 49.04, d 1.858, intensity 60
2θ 71.88, d 1.313, intensity 18

=====

# 5
Theoretical X-ray diffraction stick pattern
Compound: Be2GaNi2
Radiation: copper Kα
Structure: the GGA-PBE geometry in Alexandria
Neutral-atom scattering factors, no anomalous dispersion.

Crystal structure
Cell: 6.230 6.230 2.610 Å, 90.00 90.00 90.00°
Space group P4/mbm (No. 127)
Unique sites:
Be  0.123  0.377  0.000
Ga  0.000  0.000  0.000
Ni  0.168  0.668  0.500

Top 8 peaks for 15° ≤ 2θ ≤ 90°, by angle:
2θ 20.16, d 4.405, intensity 23
2θ 32.13, d 2.786, intensity 100
2θ 40.15, d 2.246, intensity 67
2θ 40.97, d 2.203, intensity 38
2θ 45.33, d 2.001, intensity 95
2θ 46.07, d 1.970, intensity 93
2θ 47.74, d 1.905, intensity 89
2θ 74.08, d 1.280, intensity 39

=====

# 6
Theoretical X-ray diffraction stick pattern
Compound: Tb2Be3GaNi12
Radiation: copper Kα
Structure: the GGA-PBE geometry in Alexandria
Neutral-atom scattering factors, no anomalous dispersion.

Crystal structure
Cell: 7.3793 7.3793 16.1611 Å, 90.00 90.00 120.00°
Space group R-3m (No. 166, hexagonal axes)
Unique sites:
Tb  0.0000  0.0000  0.1044
Be  0.0000  0.5000  0.0000
Ga  0.0000  0.0000  0.5000
Ni  0.0156  0.5078  0.8727
Ni  0.0413  0.5207  0.3652

Top 8 peaks for 15° ≤ 2θ ≤ 90°, by angle:
2θ 29.34, d 3.044, intensity 16
2θ 31.01, d 2.884, intensity 29
2θ 35.83, d 2.506, intensity 100
2θ 38.92, d 2.314, intensity 22
2θ 39.66, d 2.272, intensity 18
2θ 49.40, d 1.845, intensity 55
2θ 53.68, d 1.708, intensity 32
2θ 62.51, d 1.486, intensity 15

=====

# 7
Theoretical X-ray diffraction stick pattern
Compound: Th2BeGaNi6
Radiation: copper Kα
Structure: the GGA-PBE geometry in Alexandria
Neutral-atom scattering factors, no anomalous dispersion.

Crystal structure
Cell: 10.673 4.996 7.712 Å, 90.00 130.04 90.00°
Space group C2/m (No. 12)
Unique sites:
Th  0.240  0.000  0.281
Be  0.000  0.500  0.000
Ga  0.000  0.000  0.500
Ni  0.008  0.259  0.767
Ni  0.246  0.500  0.084

Top 8 peaks for 15° ≤ 2θ ≤ 90°, by angle:
2θ 21.22, d 4.186, intensity 80
2θ 29.68, d 3.010, intensity 98
2θ 30.28, d 2.952, intensity 61
2θ 31.44, d 2.845, intensity 70
2θ 32.22, d 2.778, intensity 74
2θ 42.42, d 2.131, intensity 100
2θ 43.22, d 2.093, intensity 75
2θ 44.34, d 2.043, intensity 62

=====

# 8
Theoretical X-ray diffraction stick pattern
Compound: BeV2Ga2Ni7
Radiation: copper Kα
Structure: the GGA-PBE geometry in Alexandria
Neutral-atom scattering factors, no anomalous dispersion.

Crystal structure
Cell: 3.245 3.245 28.081 Å, 90.00 90.00 90.00°
Space group I4/mmm (No. 139)
Unique sites:
Be  0.000  0.000  0.000
V  0.000  0.000  0.368
Ga  0.000  0.000  0.186
Ni  0.000  0.000  0.275
Ni  0.000  0.000  0.500
Ni  0.000  0.500  0.066

Top 8 peaks for 15° ≤ 2θ ≤ 90°, by angle:
2θ 39.81, d 2.264, intensity 100
2θ 40.09, d 2.249, intensity 73
2θ 43.95, d 2.060, intensity 74
2θ 45.20, d 2.006, intensity 71
2θ 47.33, d 1.921, intensity 50
2θ 50.78, d 1.798, intensity 34
2θ 56.74, d 1.622, intensity 73
2θ 75.34, d 1.262, intensity 34

=====

Which formula does entry 3 have? NdBeGaPt2